1.
CuBiPd3: computed powder XRD pattern (CuKα), based on DFT lattice parameters and positions (PBE).

Cell and atoms:
a b c (Å): 8.591 8.591 4.776
angles (deg): 101.19 101.19 32.26
Element x y z (fractional)
Cu (0.128, 0.128, 0.354)
Cu (0.872, 0.872, 0.646)
Bi (0.389, 0.389, 0.017)
Bi (0.611, 0.611, 0.983)
Pd (0.038, 0.038, 0.774)
Pd (0.208, 0.208, 0.888)
Pd (0.297, 0.297, 0.454)
Pd (0.703, 0.703, 0.546)
Pd (0.792, 0.792, 0.112)
Pd (0.962, 0.962, 0.226)

Main lines, most intense first (2θ from 15° to 90°):
two_theta  d_spacing  intensity
41.58  2.172  100.0
37.69  2.387  72.5
42.38  2.133  65.5
44.35  2.043  42.3
34.91  2.570  33.0
35.75  2.511  27.7

---

2.
Cu2BiPd5: computed powder XRD pattern (CuKα), based on DFT lattice parameters and positions (PBE).

Cell and atoms:
a b c (Å): 2.994 8.146 10.678
angles (deg): 90.00 90.00 90.00
Element x y z (fractional)
Cu (0.000, 0.000, 0.243)
Cu (0.000, 0.000, 0.757)
Cu (0.500, 0.500, 0.257)
Cu (0.500, 0.500, 0.743)
Bi (0.000, 0.500, 0.000)
Bi (0.500, 0.000, 0.500)
Pd (0.000, 0.000, 0.000)
Pd (0.000, 0.272, 0.365)
Pd (0.000, 0.272, 0.635)
Pd (0.000, 0.728, 0.365)
Pd (0.000, 0.728, 0.635)
Pd (0.500, 0.228, 0.135)
Pd (0.500, 0.228, 0.865)
Pd (0.500, 0.500, 0.500)
Pd (0.500, 0.772, 0.135)
Pd (0.500, 0.772, 0.865)

Main lines, most intense first (2θ from 15° to 90°):
two_theta  d_spacing  intensity
38.25  2.353  100.0
40.40  2.233  87.8
39.32  2.291  55.8
44.49  2.037  30.7
60.85  1.522  26.0
76.63  1.243  26.0

---

3.
Pr4Cu3Bi8: computed powder XRD pattern (CuKα), based on DFT lattice parameters and positions (PBE).

Cell and atoms:
a b c (Å): 4.614 4.614 19.695
angles (deg): 90.00 90.00 90.00
Element x y z (fractional)
Pr (0.000, 0.500, 0.114)
Pr (0.000, 0.500, 0.620)
Pr (0.500, 0.000, 0.380)
Pr (0.500, 0.000, 0.886)
Cu (0.000, 0.000, 0.000)
Cu (0.000, 0.000, 0.500)
Cu (0.500, 0.500, 0.500)
Bi (0.000, 0.000, 0.247)
Bi (0.000, 0.000, 0.753)
Bi (0.000, 0.500, 0.420)
Bi (0.000, 0.500, 0.928)
Bi (0.500, 0.000, 0.072)
Bi (0.500, 0.000, 0.580)
Bi (0.500, 0.500, 0.248)
Bi (0.500, 0.500, 0.752)

Main lines, most intense first (2θ from 15° to 90°):
two_theta  d_spacing  intensity
32.93  2.720  100.0
39.04  2.307  54.1
28.83  3.097  53.6
27.17  3.283  28.8
66.88  1.399  26.3
48.21  1.888  25.3